# BaC4O4
Theoretical XRD peak list, λ = 1.5418 Å (Cu Kα). Input: a crystal structure in Alexandria, relaxed with PBE.
No peak broadening, texture or thermal motion is included.

Crystal structure
a = 7.758 Å, b = 7.758 Å, c = 7.758 Å
α = 130.75°, β = 130.75°, γ = 72.21°
Fractional positions:
Ba1 0.250 0.250 0.000
Ba2 0.750 0.750 0.000
C1 0.022 0.522 0.661
C2 0.139 0.639 0.661
C3 0.361 0.022 0.500
C4 0.478 0.139 0.500
C5 0.522 0.861 0.500
C6 0.639 0.978 0.500
C7 0.861 0.361 0.339
C8 0.978 0.478 0.339
O1 0.046 0.546 0.855
O2 0.192 0.046 0.500
O3 0.308 0.808 0.855
O4 0.454 0.308 0.500
O5 0.546 0.692 0.500
O6 0.692 0.192 0.145
O7 0.808 0.954 0.500
O8 0.954 0.454 0.145

Top 10 peaks for 10 to 90 degrees two-theta, in order of rising 2θ:
- 14.1°, rel. 33
- 19.4°, rel. 20
- 24.1°, rel. 100
- 27.6°, rel. 18
- 31.1°, rel. 26
- 34.7°, rel. 31
- 39.4°, rel. 15
- 40.1°, rel. 31
- 44.3°, rel. 19
- 46.7°, rel. 24